Structure and theoretical powder X-ray diffraction pattern of Sr3Al2Ga2Pd4 (DFT lattice parameters and positions (GGA-PBE); Cu Kα).
Neutral-atom scattering factors, no anomalous dispersion.

Structural model:
```
Sr3Al2Ga2Pd4
1.0
4.341 0.000 0.000
-2.170 3.759 0.000
0.000 0.000 16.248
Sr Al Ga Pd
3 2 2 4
direct
0.000 0.000 0.000 Sr
0.000 0.000 0.282 Sr
0.000 0.000 0.718 Sr
0.333 0.667 0.559 Al
0.667 0.333 0.441 Al
0.333 0.667 0.143 Ga
0.667 0.333 0.857 Ga
0.333 0.667 0.406 Pd
0.333 0.667 0.861 Pd
0.667 0.333 0.139 Pd
0.667 0.333 0.594 Pd
```

Most intense lines, 2θ = 10–80°, in order of falling intensity:
index	two_theta	d (Å)	Rel. int.
1 0 4	32.45	2.759	100.0
1 1 0	41.61	2.170	96.1
0 1 3	28.91	3.088	81.9
1 1 7	58.19	1.585	54.3
0 1 2	26.12	3.412	43.1
0 0 7	38.80	2.321	30.3